BaSrFe4O8: calculated PXRD pattern (Cu Ka), based on a crystal structure in Alexandria, relaxed with PBE+U.
Kinematic intensities with the Lorentz-polarization factor, no thermal factor.

The 6 most intense peaks (2θ from 10° to 90°), in order of rising 2θ:
28.6°, rel. 100, (1 0 2); 32.2°, rel. 70, (1 1 0); 43.6°, rel. 30, (2 0 2); 55.2°, rel. 30, (3 -1 2); 55.7°, rel. 27, (2 -1 4); 57.4°, rel. 21, (3 0 0)

Structure:
```
data_BaSrFe4O8
_chemical_formula_sum 'Ba1 Sr1 Fe4 O8'
_cell_length_a 5.5600
_cell_length_b 5.5600
_cell_length_c 8.2014
_cell_angle_alpha 90.00
_cell_angle_beta 90.00
_cell_angle_gamma 120.00
_space_group_name_H-M_alt 'P -3 1 m'
_space_group_IT_number 162
_space_group_name_Hall '-P 3 2'
loop_
_atom_site_label
_atom_site_fract_x
_atom_site_fract_y
_atom_site_fract_z
Ba1 0.0000 0.0000 0.0000
Sr1 0.0000 0.0000 0.5000
Fe1 0.3333 0.6667 0.2294
O1 0.0000 0.3378 0.2924
O2 0.3333 0.6667 0.0000
```